(1)
# LaDyAs2Rh5
Calculated powder diffractogram, a wavelength of 1.5418 Å. Input: a crystal structure in Alexandria, relaxed with GGA-PBE.

Most intense lines, 2θ from 10° to 90°, sorted by position:
2θ/deg, Rel. int.
23.2, 27
23.6, 36
26.9, 73
32.0, 39
34.9, 100
39.3, 45
44.4, 84
44.9, 53
51.3, 37
52.7, 23
64.5, 27
67.7, 27

Cell and atoms:
```
data_LaDyAs2Rh5
_chemical_formula_sum 'La1 Dy1 As2 Rh5'
_cell_length_a 4.084
_cell_length_b 4.084
_cell_length_c 11.305
_cell_angle_alpha 90.00
_cell_angle_beta 90.00
_cell_angle_gamma 90.00
_symmetry_space_group_name_H-M 'P 1'
_symmetry_Int_Tables_number 1
loop_
_symmetry_equiv_pos_as_xyz
'x,y,z'
loop_
_atom_site_label
_atom_site_fract_x
_atom_site_fract_y
_atom_site_fract_z
La1 0.000 0.000 0.000
Dy1 0.000 0.000 0.500
As1 0.500 0.500 0.212
As2 0.500 0.500 0.788
Rh1 0.000 0.500 0.319
Rh2 0.000 0.500 0.681
Rh3 0.500 0.000 0.319
Rh4 0.500 0.000 0.681
Rh5 0.500 0.500 0.000
```



(2)
# LaDy2UAs4
Calculated powder diffractogram, a wavelength of 1.5418 Å. Input: a crystal structure in Alexandria, relaxed with GGA-PBE.

Most intense lines, 2θ from 10° to 90°, sorted by position:
2θ/deg, Rel. int.
26.1, 14
26.2, 13
30.3, 100
43.2, 13
43.4, 50
43.5, 12
51.4, 8
54.0, 13
63.0, 12
71.5, 11
71.6, 11
79.8, 13

Cell and atoms:
```
data_LaDy2UAs4
_chemical_formula_sum 'La1 Dy2 U1 As4'
_cell_length_a 7.221
_cell_length_b 4.159
_cell_length_c 7.237
_cell_angle_alpha 90.00
_cell_angle_beta 109.21
_cell_angle_gamma 90.00
_symmetry_space_group_name_H-M 'P 1'
_symmetry_Int_Tables_number 1
loop_
_symmetry_equiv_pos_as_xyz
'x,y,z'
loop_
_atom_site_label
_atom_site_fract_x
_atom_site_fract_y
_atom_site_fract_z
La1 0.000 0.000 0.000
Dy1 0.500 0.000 0.500
Dy2 0.500 0.500 0.000
U1 0.000 0.500 0.500
As1 0.252 0.000 0.743
As2 0.256 0.500 0.263
As3 0.744 0.500 0.737
As4 0.748 0.000 0.257
```



(3)
# Li3Dy3AsO8
Calculated powder diffractogram, a wavelength of 1.5418 Å. Input: a crystal structure in Alexandria, relaxed with GGA-PBE.

Most intense lines, 2θ from 10° to 90°, sorted by position:
2θ/deg, Rel. int.
17.9, 100
31.7, 66
33.4, 40
36.2, 11
39.6, 61
43.7, 25
53.6, 18
55.4, 21
58.6, 25
59.1, 17
67.9, 12
70.2, 10

Cell and atoms:
```
data_Li3Dy3AsO8
_chemical_formula_sum 'Li3 Dy3 As1 O8'
_cell_length_a 6.275
_cell_length_b 6.275
_cell_length_c 6.275
_cell_angle_alpha 63.87
_cell_angle_beta 63.87
_cell_angle_gamma 63.87
_symmetry_space_group_name_H-M 'P 1'
_symmetry_Int_Tables_number 1
loop_
_symmetry_equiv_pos_as_xyz
'x,y,z'
loop_
_atom_site_label
_atom_site_fract_x
_atom_site_fract_y
_atom_site_fract_z
Li1 0.000 0.500 0.500
Li2 0.500 0.000 0.500
Li3 0.500 0.500 0.000
Dy1 0.000 0.000 0.500
Dy2 0.000 0.500 0.000
Dy3 0.500 0.000 0.000
As1 0.500 0.500 0.500
O1 0.245 0.245 0.245
O2 0.278 0.278 0.721
O3 0.278 0.721 0.278
O4 0.279 0.722 0.722
O5 0.721 0.278 0.278
O6 0.722 0.279 0.722
O7 0.722 0.722 0.279
O8 0.755 0.755 0.755
```



(4)
# LiDyPa2As4
Calculated powder diffractogram, a wavelength of 1.5418 Å. Input: a crystal structure in Alexandria, relaxed with GGA-PBE.

Most intense lines, 2θ from 10° to 90°, sorted by position:
2θ/deg, Rel. int.
13.6, 22
25.4, 15
26.6, 16
31.0, 100
34.0, 7
43.9, 39
44.9, 36
54.7, 20
64.6, 12
72.7, 18
74.1, 11
81.4, 9

Cell and atoms:
```
data_LiDyPa2As4
_chemical_formula_sum 'Li1 Dy1 Pa2 As4'
_cell_length_a 6.942
_cell_length_b 4.121
_cell_length_c 7.140
_cell_angle_alpha 90.00
_cell_angle_beta 109.95
_cell_angle_gamma 90.00
_symmetry_space_group_name_H-M 'P 1'
_symmetry_Int_Tables_number 1
loop_
_symmetry_equiv_pos_as_xyz
'x,y,z'
loop_
_atom_site_label
_atom_site_fract_x
_atom_site_fract_y
_atom_site_fract_z
Li1 0.000 0.000 0.000
Dy1 0.000 0.500 0.500
Pa1 0.500 0.000 0.500
Pa2 0.500 0.500 0.000
As1 0.251 0.000 0.754
As2 0.255 0.500 0.250
As3 0.745 0.500 0.750
As4 0.749 0.000 0.246
```



(5)
# Li2DyAsS4
Calculated powder diffractogram, a wavelength of 1.5418 Å. Input: a crystal structure in Alexandria, relaxed with GGA-PBE.

Most intense lines, 2θ from 10° to 90°, sorted by position:
2θ/deg, Rel. int.
14.4, 93
27.4, 59
28.7, 13
33.4, 100
36.5, 27
44.0, 18
47.7, 35
48.2, 34
50.1, 24
59.5, 12
70.1, 11
80.3, 10

Cell and atoms:
```
data_Li2DyAsS4
_chemical_formula_sum 'Li2 Dy1 As1 S4'
_cell_length_a 6.520
_cell_length_b 3.809
_cell_length_c 6.609
_cell_angle_alpha 90.00
_cell_angle_beta 109.66
_cell_angle_gamma 90.00
_symmetry_space_group_name_H-M 'P 1'
_symmetry_Int_Tables_number 1
loop_
_symmetry_equiv_pos_as_xyz
'x,y,z'
loop_
_atom_site_label
_atom_site_fract_x
_atom_site_fract_y
_atom_site_fract_z
Li1 0.000 0.000 0.000
Li2 0.000 0.500 0.500
Dy1 0.500 0.000 0.500
As1 0.500 0.500 0.000
S1 0.252 0.500 0.238
S2 0.257 0.000 0.764
S3 0.743 0.000 0.236
S4 0.748 0.500 0.762
```



(6)
# NaDyAs
Calculated powder diffractogram, a wavelength of 1.5418 Å. Input: a crystal structure in Alexandria, relaxed with GGA-PBE.

Most intense lines, 2θ from 10° to 90°, sorted by position:
2θ/deg, Rel. int.
22.3, 49
22.8, 71
25.7, 24
26.4, 41
29.9, 82
36.5, 98
38.7, 100
39.7, 50
47.1, 29
52.9, 35
54.3, 31
68.6, 30

Cell and atoms:
```
data_NaDyAs
_chemical_formula_sum 'Na2 Dy2 As2'
_cell_length_a 10.724
_cell_length_b 10.724
_cell_length_c 10.724
_cell_angle_alpha 25.03
_cell_angle_beta 25.03
_cell_angle_gamma 25.03
_symmetry_space_group_name_H-M 'P 1'
_symmetry_Int_Tables_number 1
loop_
_symmetry_equiv_pos_as_xyz
'x,y,z'
loop_
_atom_site_label
_atom_site_fract_x
_atom_site_fract_y
_atom_site_fract_z
Na1 0.120 0.120 0.120
Na2 0.880 0.880 0.880
Dy1 0.296 0.296 0.296
Dy2 0.704 0.704 0.704
As1 0.396 0.396 0.396
As2 0.604 0.604 0.604
```



(7)
# NdDy2As3
Calculated powder diffractogram, a wavelength of 1.5418 Å. Input: a crystal structure in Alexandria, relaxed with GGA-PBE.

Most intense lines, 2θ from 10° to 90°, sorted by position:
2θ/deg, Rel. int.
26.2, 21
30.3, 100
43.4, 75
51.4, 11
53.8, 26
63.0, 12
69.4, 4
71.5, 34
79.6, 25
85.5, 3

Cell and atoms:
```
data_NdDy2As3
_chemical_formula_sum 'Nd2 Dy4 As6'
_cell_length_a 4.173
_cell_length_b 5.903
_cell_length_c 12.508
_cell_angle_alpha 90.00
_cell_angle_beta 90.00
_cell_angle_gamma 90.00
_symmetry_space_group_name_H-M 'P 1'
_symmetry_Int_Tables_number 1
loop_
_symmetry_equiv_pos_as_xyz
'x,y,z'
loop_
_atom_site_label
_atom_site_fract_x
_atom_site_fract_y
_atom_site_fract_z
Nd1 0.000 0.000 0.000
Nd2 0.500 0.500 0.500
Dy1 0.000 0.000 0.334
Dy2 0.000 0.000 0.666
Dy3 0.500 0.500 0.166
Dy4 0.500 0.500 0.834
As1 0.000 0.500 0.000
As2 0.000 0.500 0.328
As3 0.000 0.500 0.672
As4 0.500 0.000 0.172
As5 0.500 0.000 0.500
As6 0.500 0.000 0.828
```



(8)
# NdDyAs2O8
Calculated powder diffractogram, a wavelength of 1.5418 Å. Input: a crystal structure in Alexandria, relaxed with GGA-PBE.

Most intense lines, 2θ from 10° to 90°, sorted by position:
2θ/deg, Rel. int.
19.0, 11
29.2, 100
31.0, 17
35.1, 21
40.2, 7
47.5, 29
50.5, 12
54.0, 18
59.4, 28
60.5, 12
75.7, 8
77.1, 13

Cell and atoms:
```
data_NdDyAs2O8
_chemical_formula_sum 'Nd1 Dy1 As2 O8'
_cell_length_a 6.809
_cell_length_b 6.809
_cell_length_c 6.809
_cell_angle_alpha 135.92
_cell_angle_beta 135.92
_cell_angle_gamma 64.10
_symmetry_space_group_name_H-M 'P 1'
_symmetry_Int_Tables_number 1
loop_
_symmetry_equiv_pos_as_xyz
'x,y,z'
loop_
_atom_site_label
_atom_site_fract_x
_atom_site_fract_y
_atom_site_fract_z
Nd1 0.000 0.000 0.000
Dy1 0.250 0.750 0.500
As1 0.500 0.500 0.000
As2 0.750 0.250 0.500
O1 0.282 0.670 0.112
O2 0.330 0.442 0.611
O3 0.424 0.024 0.101
O4 0.558 0.169 0.888
O5 0.677 0.576 0.601
O6 0.831 0.718 0.389
O7 0.924 0.323 0.899
O8 0.976 0.076 0.399
```



(9)
# NdDyAsSe
Calculated powder diffractogram, a wavelength of 1.5418 Å. Input: a crystal structure in Alexandria, relaxed with GGA-PBE.

Most intense lines, 2θ from 10° to 90°, sorted by position:
2θ/deg, Rel. int.
26.2, 15
30.2, 100
43.1, 37
43.4, 37
53.3, 6
53.8, 20
62.9, 12
71.1, 16
71.5, 17
78.9, 6
79.5, 12
79.7, 6

Cell and atoms:
```
data_NdDyAsSe
_chemical_formula_sum 'Nd3 Dy3 As3 Se3'
_cell_length_a 4.168
_cell_length_b 4.168
_cell_length_c 20.614
_cell_angle_alpha 90.00
_cell_angle_beta 90.00
_cell_angle_gamma 120.00
_symmetry_space_group_name_H-M 'P 1'
_symmetry_Int_Tables_number 1
loop_
_symmetry_equiv_pos_as_xyz
'x,y,z'
loop_
_atom_site_label
_atom_site_fract_x
_atom_site_fract_y
_atom_site_fract_z
Nd1 0.000 0.000 0.000
Nd2 0.333 0.667 0.667
Nd3 0.667 0.333 0.333
Dy1 0.000 0.000 0.508
Dy2 0.333 0.667 0.175
Dy3 0.667 0.333 0.841
As1 0.000 0.000 0.250
As2 0.333 0.667 0.917
As3 0.667 0.333 0.583
Se1 0.000 0.000 0.758
Se2 0.333 0.667 0.424
Se3 0.667 0.333 0.091
```



(10)
# Nd2Dy3ThAs6
Calculated powder diffractogram, a wavelength of 1.5418 Å. Input: a crystal structure in Alexandria, relaxed with GGA-PBE.

Most intense lines, 2θ from 10° to 90°, sorted by position:
2θ/deg, Rel. int.
26.0, 25
30.1, 100
43.1, 50
43.2, 25
51.0, 9
53.5, 20
53.7, 7
62.7, 12
71.0, 11
71.1, 11
71.2, 11
79.0, 15

Cell and atoms:
```
data_Nd2Dy3ThAs6
_chemical_formula_sum 'Nd2 Dy3 Th1 As6'
_cell_length_a 9.364
_cell_length_b 9.364
_cell_length_c 8.384
_cell_angle_alpha 102.73
_cell_angle_beta 102.73
_cell_angle_gamma 25.92
_symmetry_space_group_name_H-M 'P 1'
_symmetry_Int_Tables_number 1
loop_
_symmetry_equiv_pos_as_xyz
'x,y,z'
loop_
_atom_site_label
_atom_site_fract_x
_atom_site_fract_y
_atom_site_fract_z
Nd1 0.168 0.168 0.336
Nd2 0.832 0.832 0.664
Dy1 0.168 0.168 0.832
Dy2 0.500 0.500 0.500
Dy3 0.832 0.832 0.168
Th1 0.500 0.500 0.000
As1 0.002 0.002 0.747
As2 0.333 0.333 0.923
As3 0.336 0.336 0.411
As4 0.664 0.664 0.589
As5 0.667 0.667 0.077
As6 0.998 0.998 0.253
```



(11)
# NdDy2YAs4
Calculated powder diffractogram, a wavelength of 1.5418 Å. Input: a crystal structure in Alexandria, relaxed with GGA-PBE.

Most intense lines, 2θ from 10° to 90°, sorted by position:
2θ/deg, Rel. int.
13.0, 3
25.1, 2
26.2, 15
30.4, 100
43.5, 74
51.5, 8
54.0, 26
63.2, 12
69.7, 3
71.7, 33
79.9, 25
85.8, 2

Cell and atoms:
```
data_NdDy2YAs4
_chemical_formula_sum 'Nd1 Dy2 Y1 As4'
_cell_length_a 7.203
_cell_length_b 4.162
_cell_length_c 7.204
_cell_angle_alpha 90.00
_cell_angle_beta 109.47
_cell_angle_gamma 90.00
_symmetry_space_group_name_H-M 'P 1'
_symmetry_Int_Tables_number 1
loop_
_symmetry_equiv_pos_as_xyz
'x,y,z'
loop_
_atom_site_label
_atom_site_fract_x
_atom_site_fract_y
_atom_site_fract_z
Nd1 0.000 0.000 0.000
Dy1 0.000 0.500 0.500
Dy2 0.500 0.000 0.500
Y1 0.500 0.500 0.000
As1 0.253 0.000 0.746
As2 0.256 0.500 0.257
As3 0.744 0.500 0.743
As4 0.747 0.000 0.254
```



(12)
# Dy2Ni12As7
Calculated powder diffractogram, a wavelength of 1.5418 Å. Input: a crystal structure in Alexandria, relaxed with GGA-PBE.

Most intense lines, 2θ from 10° to 90°, sorted by position:
2θ/deg, Rel. int.
32.0, 13
33.0, 11
37.5, 100
38.3, 9
40.7, 10
44.5, 8
46.7, 15
47.4, 19
51.4, 25
54.6, 14
72.5, 15
81.5, 14

Cell and atoms:
```
data_Dy2Ni12As7
_chemical_formula_sum 'Dy2 Ni12 As7'
_cell_length_a 9.405
_cell_length_b 9.405
_cell_length_c 3.838
_cell_angle_alpha 90.00
_cell_angle_beta 90.00
_cell_angle_gamma 120.00
_symmetry_space_group_name_H-M 'P 1'
_symmetry_Int_Tables_number 1
loop_
_symmetry_equiv_pos_as_xyz
'x,y,z'
loop_
_atom_site_label
_atom_site_fract_x
_atom_site_fract_y
_atom_site_fract_z
Dy1 0.333 0.667 0.248
Dy2 0.667 0.333 0.752
Ni1 0.056 0.433 0.749
Ni2 0.118 0.258 0.232
Ni3 0.140 0.882 0.232
Ni4 0.258 0.140 0.768
Ni5 0.377 0.944 0.749
Ni6 0.433 0.377 0.251
Ni7 0.567 0.623 0.749
Ni8 0.623 0.056 0.251
Ni9 0.742 0.860 0.232
Ni10 0.860 0.118 0.768
Ni11 0.882 0.742 0.768
Ni12 0.944 0.567 0.251
As1 0.000 0.000 0.500
As2 0.113 0.706 0.746
As3 0.294 0.407 0.746
As4 0.407 0.113 0.254
As5 0.593 0.887 0.746
As6 0.706 0.593 0.254
As7 0.887 0.294 0.254
```



(13)
# Dy2Ni5As3
Calculated powder diffractogram, a wavelength of 1.5418 Å. Input: a crystal structure in Alexandria, relaxed with GGA-PBE.

Most intense lines, 2θ from 10° to 90°, sorted by position:
2θ/deg, Rel. int.
24.7, 12
36.1, 23
37.1, 100
37.7, 60
41.7, 53
44.4, 55
58.5, 11
62.5, 15
64.6, 11
72.6, 18
76.9, 11
82.9, 10

Cell and atoms:
```
data_Dy2Ni5As3
_chemical_formula_sum 'Dy4 Ni10 As6'
_cell_length_a 11.678
_cell_length_b 11.678
_cell_length_c 6.542
_cell_angle_alpha 90.00
_cell_angle_beta 90.00
_cell_angle_gamma 159.86
_symmetry_space_group_name_H-M 'P 1'
_symmetry_Int_Tables_number 1
loop_
_symmetry_equiv_pos_as_xyz
'x,y,z'
loop_
_atom_site_label
_atom_site_fract_x
_atom_site_fract_y
_atom_site_fract_z
Dy1 0.018 0.982 0.500
Dy2 0.325 0.675 0.500
Dy3 0.675 0.325 0.000
Dy4 0.982 0.018 0.000
Ni1 0.106 0.894 0.194
Ni2 0.208 0.792 0.667
Ni3 0.216 0.784 0.275
Ni4 0.375 0.625 0.981
Ni5 0.445 0.555 0.311
Ni6 0.555 0.445 0.811
Ni7 0.625 0.375 0.481
Ni8 0.784 0.216 0.775
Ni9 0.792 0.208 0.167
Ni10 0.894 0.106 0.694
As1 0.109 0.891 0.793
As2 0.272 0.728 0.969
As3 0.448 0.552 0.706
As4 0.552 0.448 0.206
As5 0.728 0.272 0.469
As6 0.891 0.109 0.293
```



(14)
# SmDyNi2As2
Calculated powder diffractogram, a wavelength of 1.5418 Å. Input: a crystal structure in Alexandria, relaxed with GGA-PBE.

Most intense lines, 2θ from 10° to 90°, sorted by position:
2θ/deg, Rel. int.
25.2, 15
34.2, 100
44.5, 41
46.2, 12
51.8, 2
53.4, 4
57.3, 22
66.1, 24
75.3, 20
77.8, 9
81.9, 7
88.7, 2

Cell and atoms:
```
data_SmDyNi2As2
_chemical_formula_sum 'Sm1 Dy1 Ni2 As2'
_cell_length_a 4.074
_cell_length_b 4.074
_cell_length_c 7.855
_cell_angle_alpha 90.00
_cell_angle_beta 90.00
_cell_angle_gamma 120.00
_symmetry_space_group_name_H-M 'P 1'
_symmetry_Int_Tables_number 1
loop_
_symmetry_equiv_pos_as_xyz
'x,y,z'
loop_
_atom_site_label
_atom_site_fract_x
_atom_site_fract_y
_atom_site_fract_z
Sm1 0.000 0.000 0.000
Dy1 0.000 0.000 0.500
Ni1 0.333 0.667 0.744
Ni2 0.667 0.333 0.256
As1 0.333 0.667 0.256
As2 0.667 0.333 0.744
```